(1)
The following is a simulated powder diffractogram of KNF4. It was derived from a structure optimized by DFT (PBE), using Cu Ka.
Peak positions follow from Bragg's law for the DFT cell and can differ from measured ones.

Atomic structure:
abc: 6.640 4.270 7.045
angles: 90.00 90.00 90.00
Positions (direct):
K1 0.000 0.211 0.000
K2 0.500 0.789 0.500
N1 0.000 0.313 0.583
N2 0.500 0.687 0.083
F1 0.000 0.205 0.399
F2 0.000 0.635 0.561
F3 0.220 0.716 0.113
F4 0.280 0.284 0.613
F5 0.500 0.365 0.061
F6 0.500 0.795 0.899
F7 0.720 0.284 0.613
F8 0.780 0.716 0.113

Largest 12 diffraction maxima, most intense first, 2θ from 10° to 90°:
2θ (°)	I/Imax
25.28	100
36.58	74
24.79	67
35.71	42
37.22	40
26.85	37
46.20	30
42.34	28
44.01	26
27.89	21
52.31	19
55.35	16


(2)
The following is a simulated powder diffractogram of K2NF5. It was derived from a structure optimized by DFT (PBE), using Cu Ka.
Peak positions follow from Bragg's law for the DFT cell and can differ from measured ones.

Atomic structure:
abc: 9.589 7.577 8.773
angles: 90.00 113.14 90.00
Positions (direct):
K1 0.081 0.191 0.408
K2 0.081 0.309 0.908
K3 0.393 0.091 0.806
K4 0.393 0.409 0.306
K5 0.607 0.591 0.694
K6 0.607 0.909 0.194
K7 0.919 0.691 0.092
K8 0.919 0.809 0.592
N1 0.302 0.605 0.746
N2 0.302 0.895 0.246
N3 0.698 0.105 0.754
N4 0.698 0.395 0.254
F1 0.095 0.089 0.691
F2 0.095 0.411 0.191
F3 0.161 0.534 0.635
F4 0.161 0.966 0.135
F5 0.250 0.748 0.814
F6 0.250 0.752 0.314
F7 0.344 0.018 0.377
F8 0.344 0.482 0.877
F9 0.409 0.182 0.094
F10 0.409 0.318 0.594
F11 0.591 0.682 0.406
F12 0.591 0.818 0.906
F13 0.656 0.518 0.123
F14 0.656 0.982 0.623
F15 0.750 0.248 0.686
F16 0.750 0.252 0.186
F17 0.839 0.034 0.865
F18 0.839 0.466 0.365
F19 0.905 0.589 0.809
F20 0.905 0.911 0.309

Largest 12 diffraction maxima, most intense first, 2θ from 10° to 90°:
2θ (°)	I/Imax
32.68	100
41.21	56
23.48	46
30.22	40
43.07	40
30.37	34
22.04	33
25.98	33
32.96	29
23.32	28
33.33	28
41.27	26


(3)
The following is a simulated powder diffractogram of K4NaF5. It was derived from a structure optimized by DFT (PBE), using Cu Ka.
Peak positions follow from Bragg's law for the DFT cell and can differ from measured ones.

Atomic structure:
abc: 15.423 15.423 15.423
angles: 13.86 13.86 13.86
Positions (direct):
K1 0.105 0.105 0.105
K2 0.298 0.298 0.298
K3 0.702 0.702 0.702
K4 0.895 0.895 0.895
Na1 0.500 0.500 0.500
F1 0.000 0.000 0.000
F2 0.194 0.194 0.194
F3 0.403 0.403 0.403
F4 0.597 0.597 0.597
F5 0.806 0.806 0.806

Largest 12 diffraction maxima, most intense first, 2θ from 10° to 90°:
2θ (°)	I/Imax
34.01	100
48.96	32
48.77	26
29.38	15
60.96	14
81.83	10
71.60	7
81.55	7
58.08	6
43.79	5
29.24	5
30.93	4